For VTcAu3, DFT lattice parameters and positions (PBE) gives the simulated powder XRD pattern in this record (CuKα).

```
data_VTcAu3
_symmetry_space_group_name_H-M 'P m -3 m'
_symmetry_Int_Tables_number 221
_symmetry_space_group_name_Hall '-P 4 2 3'
_cell_length_a 4.9912
_cell_length_b 4.9912
_cell_length_c 4.9912
_cell_angle_alpha 90.00
_cell_angle_beta 90.00
_cell_angle_gamma 90.00
loop_
_atom_site_label
_atom_site_type_symbol
_atom_site_fract_x
_atom_site_fract_y
_atom_site_fract_z
V1 V 0.0000 0.0000 0.0000
Tc1 Tc 0.5000 0.5000 0.5000
Au1 Au 0.0000 0.5000 0.5000
```

Peak list (8 most intense, 2θ = 15–90°, sorted by position)
2θ = 17.77°, d = 4.991 Å, intensity 59, (1 0 0)
2θ = 31.03°, d = 2.882 Å, intensity 100, (1 1 1)
2θ = 35.99°, d = 2.496 Å, intensity 96, (2 0 0)
2θ = 40.41°, d = 2.232 Å, intensity 31, (2 1 0)
2θ = 51.81°, d = 1.765 Å, intensity 68, (2 2 0)
2θ = 61.63°, d = 1.505 Å, intensity 43, (3 1 1)
2θ = 64.70°, d = 1.441 Å, intensity 23, (2 2 2)
2θ = 87.38°, d = 1.116 Å, intensity 32, (4 2 0)